No. 1
Calculated powder XRD pattern
Compound: Mg6BWO8
Radiation: Cu Kα, 1.54184 Å
Structure: a structure optimized by DFT (PBE+U)
Kinematic intensities with the Lorentz-polarization factor, no thermal factor.

Atomic structure:
a = 4.322 Å, b = 4.322 Å, c = 8.761 Å
α = 90.00°, β = 90.00°, γ = 90.00°
Space group P4/mmm (No. 123)
Asymmetric unit:
1 Mg 0.000 0.000 0.000 (multiplicity 1)
2 Mg 0.000 0.500 0.246 (multiplicity 4)
3 Mg 0.500 0.500 0.000 (multiplicity 1)
4 B 0.000 0.000 0.500 (multiplicity 1)
5 W 0.500 0.500 0.500 (multiplicity 1)
6 O 0.000 0.000 0.232 (multiplicity 2)
7 O 0.000 0.500 0.000 (multiplicity 2)
8 O 0.000 0.500 0.500 (multiplicity 2)
9 O 0.500 0.500 0.249 (multiplicity 2)

Main lines, by angle (2θ = 15–90°):
d 4.322, 2θ 20.55, I = 61.9, hkl 1 0 0; d 3.876, 2θ 22.95, I = 100.0, hkl 1 0 1; d 3.076, 2θ 29.02, I = 53.5, hkl 1 0 2; d 2.885, 2θ 30.99, I = 28.6, hkl 1 1 1; d 2.506, 2θ 35.83, I = 47.1, hkl 1 1 2; d 2.420, 2θ 37.16, I = 25.4, hkl 1 0 3; d 2.190, 2θ 41.22, I = 38.6, hkl 0 0 4; d 2.161, 2θ 41.80, I = 75.2, hkl 2 0 0; d 1.887, 2θ 48.22, I = 28.8, hkl 2 1 1; d 1.538, 2θ 60.16, I = 45.6, hkl 2 0 4

***

No. 2
Calculated powder XRD pattern
Compound: P2W5O19
Radiation: Cu Kα, 1.54184 Å
Structure: a structure optimized by DFT (PBE+U)
Kinematic intensities with the Lorentz-polarization factor, no thermal factor.

Atomic structure:
a = 6.733 Å, b = 5.405 Å, c = 21.069 Å
α = 90.00°, β = 96.10°, γ = 90.00°
Space group P2_1 (No. 4)
Asymmetric unit:
1 P 0.214 0.000 0.235 (multiplicity 2)
2 P 0.251 0.018 0.660 (multiplicity 2)
3 W 0.106 0.005 0.815 (multiplicity 2)
4 W 0.148 0.515 0.460 (multiplicity 2)
5 W 0.179 0.504 0.036 (multiplicity 2)
6 W 0.466 0.012 0.391 (multiplicity 2)
7 W 0.468 0.503 0.888 (multiplicity 2)
8 O 0.011 0.766 0.497 (multiplicity 2)
9 O 0.012 0.770 0.002 (multiplicity 2)
10 O 0.032 0.505 0.113 (multiplicity 2)
11 O 0.048 0.013 0.620 (multiplicity 2)
12 O 0.075 0.224 0.221 (multiplicity 2)
13 O 0.097 0.755 0.226 (multiplicity 2)
14 O 0.218 0.999 0.731 (multiplicity 2)
15 O 0.274 0.267 0.843 (multiplicity 2)
16 O 0.294 0.249 0.422 (multiplicity 2)
17 O 0.294 0.769 0.847 (multiplicity 2)
18 O 0.304 0.020 0.305 (multiplicity 2)
19 O 0.316 0.755 0.416 (multiplicity 2)
20 O 0.321 0.504 0.960 (multiplicity 2)
21 O 0.348 0.239 0.074 (multiplicity 2)
22 O 0.356 0.511 0.536 (multiplicity 2)
23 O 0.358 0.266 0.651 (multiplicity 2)
24 O 0.371 0.737 0.079 (multiplicity 2)
25 O 0.380 0.796 0.644 (multiplicity 2)
26 O 0.385 0.004 0.192 (multiplicity 2)

Main lines, by angle (2θ = 15–90°):
d 4.356, 2θ 20.39, I = 64.1, hkl 1 0 -4; d 4.178, 2θ 21.27, I = 58.4, hkl 1 1 -1; d 4.071, 2θ 21.83, I = 94.8, hkl 1 1 1; d 3.996, 2θ 22.25, I = 50.7, hkl 1 1 -2; d 3.816, 2θ 23.31, I = 100.0, hkl 1 1 2; d 3.735, 2θ 23.83, I = 56.6, hkl 1 0 -5; d 3.501, 2θ 25.44, I = 58.2, hkl 1 1 3; d 2.703, 2θ 33.15, I = 52.4, hkl 0 2 0; d 2.618, 2θ 34.25, I = 90.2, hkl 0 1 7; d 1.782, 2θ 51.27, I = 70.8, hkl 3 1 -7